[1]
Theoretical powder diffractogram of Na3Nb6Bi5O24 for copper Kα, from a structure optimized by DFT (GGA-PBE).
Intensities are scaled so that the largest is 100.

Atomic structure:
Cell lengths 5.557, 5.637, 16.966 Å; angles 80.80, 89.88, 89.25 degrees
Atoms (fractional coordinates):
Na  0.000  0.000  0.000
Na  0.008  0.875  0.257
Na  0.494  0.503  0.002
Nb  0.002  0.290  0.381
Nb  0.004  0.405  0.132
Nb  0.502  0.047  0.889
Nb  0.505  0.911  0.129
Nb  0.506  0.796  0.382
Nb  0.995  0.546  0.888
Bi  0.024  0.792  0.560
Bi  0.463  0.293  0.559
Bi  0.516  0.399  0.257
Bi  0.525  0.721  0.712
Bi  0.965  0.219  0.711
O  0.058  0.453  0.021
O  0.073  0.218  0.492
O  0.205  0.652  0.159
O  0.206  0.556  0.351
O  0.213  0.246  0.887
O  0.229  0.473  0.637
O  0.258  0.974  0.636
O  0.268  0.749  0.883
O  0.282  0.061  0.353
O  0.283  0.157  0.157
O  0.412  0.703  0.491
O  0.424  0.938  0.020
O  0.569  0.793  0.257
O  0.572  0.076  0.779
O  0.685  0.577  0.128
O  0.689  0.459  0.385
O  0.719  0.275  0.918
O  0.730  0.476  0.633
O  0.758  0.975  0.635
O  0.762  0.774  0.918
O  0.788  0.965  0.394
O  0.790  0.090  0.119
O  0.912  0.299  0.256
O  0.913  0.572  0.779

Peak list (10 most intense, 10° ≤ 2θ ≤ 90°, in order of rising 2θ)
| two_theta | Rel. int. |
| --- | --- |
| 10.56 | 49 |
| 26.34 | 44 |
| 29.10 | 97 |
| 29.24 | 92 |
| 29.34 | 96 |
| 29.47 | 85 |
| 31.75 | 71 |
| 32.21 | 100 |
| 45.56 | 47 |
| 46.14 | 60 |

[2]
Theoretical powder diffractogram of NaNb2Bi2O9 for copper Kα, from a structure optimized by DFT (GGA-PBE).
Intensities are scaled so that the largest is 100.

Atomic structure:
Cell lengths 12.517, 12.517, 5.682 Å; angles 90.00, 90.00, 25.58 degrees
Atoms (fractional coordinates):
Na  0.232  0.768  0.500
Na  0.768  0.232  0.000
Nb  0.181  0.661  0.019
Nb  0.339  0.819  0.019
Nb  0.661  0.181  0.519
Nb  0.819  0.339  0.519
Bi  0.018  0.588  0.423
Bi  0.412  0.982  0.423
Bi  0.588  0.018  0.923
Bi  0.982  0.412  0.923
O  0.012  0.300  0.564
O  0.019  0.107  0.276
O  0.107  0.019  0.776
O  0.244  0.265  0.210
O  0.265  0.244  0.710
O  0.300  0.012  0.064
O  0.342  0.658  0.088
O  0.356  0.450  0.351
O  0.450  0.356  0.851
O  0.550  0.644  0.351
O  0.644  0.550  0.851
O  0.658  0.342  0.588
O  0.700  0.988  0.564
O  0.735  0.756  0.210
O  0.756  0.735  0.710
O  0.893  0.981  0.276
O  0.981  0.893  0.776
O  0.988  0.700  0.064

Peak list (10 most intense, 10° ≤ 2θ ≤ 90°, in order of rising 2θ)
| two_theta | Rel. int. |
| --- | --- |
| 24.97 | 53 |
| 29.00 | 100 |
| 29.27 | 17 |
| 31.49 | 17 |
| 32.32 | 27 |
| 36.82 | 12 |
| 44.14 | 11 |
| 45.73 | 15 |
| 54.03 | 18 |
| 55.59 | 16 |

[3]
Theoretical powder diffractogram of NaNbBi2W for copper Kα, from a structure optimized by DFT (GGA-PBE).
Intensities are scaled so that the largest is 100.

Atomic structure:
Cell lengths 5.136, 5.136, 4.913 Å; angles 90.00, 90.00, 90.00 degrees
Atoms (fractional coordinates):
Na  0.000  0.000  0.000
Nb  0.000  0.000  0.500
Bi  0.000  0.500  0.000
Bi  0.500  0.000  0.000
W  0.500  0.500  0.500

Peak list (10 most intense, 10° ≤ 2θ ≤ 90°, in order of rising 2θ)
| two_theta | Rel. int. |
| --- | --- |
| 30.61 | 100 |
| 34.94 | 41 |
| 36.58 | 18 |
| 50.25 | 15 |
| 51.48 | 28 |
| 59.99 | 31 |
| 62.18 | 14 |
| 63.74 | 15 |
| 83.91 | 12 |
| 84.34 | 7 |

[4]
Theoretical powder diffractogram of NaNd2BiO6 for copper Kα, from a structure optimized by DFT (GGA-PBE).
Intensities are scaled so that the largest is 100.

Atomic structure:
Cell lengths 6.186, 6.186, 6.186 Å; angles 57.47, 57.47, 57.47 degrees
Atoms (fractional coordinates):
Na  0.000  0.000  0.000
Nd  0.273  0.273  0.273
Nd  0.775  0.775  0.775
Bi  0.486  0.486  0.486
O  0.120  0.669  0.390
O  0.218  0.595  0.845
O  0.390  0.120  0.669
O  0.595  0.845  0.218
O  0.669  0.390  0.120
O  0.845  0.218  0.595

Peak list (10 most intense, 10° ≤ 2θ ≤ 90°, in order of rising 2θ)
| two_theta | Rel. int. |
| --- | --- |
| 17.23 | 21 |
| 18.16 | 53 |
| 20.73 | 23 |
| 28.91 | 99 |
| 30.05 | 100 |
| 34.85 | 30 |
| 42.18 | 42 |
| 46.68 | 37 |
| 52.66 | 42 |
| 53.36 | 32 |

[5]
Theoretical powder diffractogram of NaNdTh2Bi4 for copper Kα, from a structure optimized by DFT (GGA-PBE).
Intensities are scaled so that the largest is 100.

Atomic structure:
Cell lengths 7.972, 4.628, 8.028 Å; angles 90.00, 109.22, 90.00 degrees
Atoms (fractional coordinates):
Na  0.000  0.000  0.000
Nd  0.000  0.500  0.500
Th  0.500  0.000  0.500
Th  0.500  0.500  0.000
Bi  0.251  0.000  0.752
Bi  0.256  0.500  0.252
Bi  0.744  0.500  0.748
Bi  0.749  0.000  0.248

Peak list (10 most intense, 10° ≤ 2θ ≤ 90°, in order of rising 2θ)
| two_theta | Rel. int. |
| --- | --- |
| 11.74 | 16 |
| 27.24 | 100 |
| 27.35 | 49 |
| 38.89 | 79 |
| 39.09 | 39 |
| 48.22 | 22 |
| 56.19 | 14 |
| 63.48 | 19 |
| 63.60 | 19 |
| 70.65 | 21 |

Question: What is the formula in the first record?
Answer: Na3Nb6Bi5O24